The following is a theoretical PXRD pattern of SbBrF8. It was derived from DFT lattice parameters and positions (PBE), using λ = 1.5418 Å (Cu Kα).

Structure:
a = 10.243 Å, b = 5.990 Å, c = 11.237 Å
α = 90.00°, β = 90.00°, γ = 90.00°
Element x y z (fractional)
Sb1 0.000 0.117 0.250
Sb2 0.000 0.883 0.750
Sb3 0.500 0.117 0.750
Sb4 0.500 0.883 0.250
Br1 0.250 0.500 0.051
Br2 0.250 0.500 0.551
Br3 0.750 0.500 0.449
Br4 0.750 0.500 0.949
F1 0.098 0.138 0.393
F2 0.098 0.862 0.893
F3 0.111 0.364 0.188
F4 0.111 0.636 0.688
F5 0.114 0.099 0.683
F6 0.114 0.901 0.183
F7 0.145 0.382 0.943
F8 0.145 0.618 0.443
F9 0.355 0.382 0.443
F10 0.355 0.618 0.943
F11 0.386 0.099 0.183
F12 0.386 0.901 0.683
F13 0.389 0.364 0.688
F14 0.389 0.636 0.188
F15 0.402 0.138 0.893
F16 0.402 0.862 0.393
F17 0.598 0.138 0.607
F18 0.598 0.862 0.107
F19 0.611 0.364 0.812
F20 0.611 0.636 0.312
F21 0.614 0.099 0.317
F22 0.614 0.901 0.817
F23 0.645 0.382 0.057
F24 0.645 0.618 0.557
F25 0.855 0.382 0.557
F26 0.855 0.618 0.057
F27 0.886 0.099 0.817
F28 0.886 0.901 0.317
F29 0.889 0.364 0.312
F30 0.889 0.636 0.812
F31 0.902 0.138 0.107
F32 0.902 0.862 0.607

Largest 8 diffraction maxima, in order of rising 2θ, 2θ = 5–70°:
h k l	d_spacing	intensity
1 1 1	4.697	79
0 1 2	4.098	94
2 1 0	3.893	95
2 0 2	3.785	100
1 2 1	2.785	20
3 2 1	2.208	21
3 0 4	2.171	37
3 2 3	1.930	28